[1]
This entry pairs a crystal structure of TaCoSi with its simulated X-ray powder pattern. Radiation: λ = 1.5418 Å (Cu Kα). Structure: a GGA-PBE-relaxed structure.
Peak positions follow from Bragg's law for the DFT cell and can differ from measured ones.

Lattice parameters (Å, degrees): 6.2157 3.6543 7.0306 90.00 90.00 90.00
Positions (direct):
Ta: 0.0202 0.2500 0.1800
Ta: 0.4798 0.7500 0.6800
Ta: 0.5202 0.2500 0.3200
Ta: 0.9798 0.7500 0.8200
Co: 0.1420 0.2500 0.5641
Co: 0.3580 0.7500 0.0641
Co: 0.6420 0.2500 0.9359
Co: 0.8580 0.7500 0.4359
Si: 0.2249 0.7500 0.3831
Si: 0.2751 0.2500 0.8831
Si: 0.7249 0.7500 0.1169
Si: 0.7751 0.2500 0.6169

Main lines, by angle (5 to 70 degrees two-theta):
(0 1 1), 2θ 27.51, d 3.242, rel. 57
(2 0 0), 2θ 28.72, d 3.108, rel. 32
(1 1 2), 2θ 38.37, d 2.346, rel. 100
(2 1 1), 2θ 40.19, d 2.244, rel. 99
(1 0 3), 2θ 41.17, d 2.193, rel. 48
(0 2 0), 2θ 49.91, d 1.827, rel. 29

***

[2]
This entry pairs a crystal structure of Ta2Co3Si with its simulated X-ray powder pattern. Radiation: λ = 1.5418 Å (Cu Kα). Structure: a GGA-PBE-relaxed structure.
Peak positions follow from Bragg's law for the DFT cell and can differ from measured ones.

Lattice parameters (Å, degrees): 4.8546 4.8546 7.5643 90.00 90.00 120.00
Positions (direct):
Ta: 0.3333 0.6667 0.0595
Ta: 0.3333 0.6667 0.4405
Ta: 0.6667 0.3333 0.5595
Ta: 0.6667 0.3333 0.9405
Co: 0.1695 0.3391 0.7500
Co: 0.1695 0.8305 0.7500
Co: 0.3391 0.1695 0.2500
Co: 0.6609 0.8305 0.7500
Co: 0.8305 0.1695 0.2500
Co: 0.8305 0.6609 0.2500
Si: 0.0000 0.0000 0.0000
Si: 0.0000 0.0000 0.5000

Main lines, by angle (5 to 70 degrees two-theta):
(1 0 0), 2θ 21.13, d 4.204, rel. 37
(1 1 0), 2θ 37.04, d 2.427, rel. 65
(1 0 3), 2θ 41.77, d 2.162, rel. 100
(1 1 2), 2θ 44.34, d 2.043, rel. 93
(2 0 1), 2θ 44.75, d 2.025, rel. 54
(2 1 3), 2θ 69.98, d 1.344, rel. 41